Record 1
The following is a theoretical PXRD pattern of MgReO4. It was derived from a structure optimized by DFT (GGA-PBE), using Cu Kα.

Cell and atoms:
Cell lengths 4.685, 4.685, 3.104 Å; angles 90.00, 90.00, 91.76 degrees
Element x y z (fractional)
Mg  0.000  0.000  0.000
Re  0.500  0.500  0.500
O  0.217  0.217  0.500
O  0.312  0.688  0.000
O  0.688  0.312  0.000
O  0.783  0.783  0.500

The 10 most intense peaks (2θ from 5° to 70°), by angle:
19.0°, intensity 100.0; 26.5°, intensity 41.0; 27.3°, intensity 35.4; 28.8°, intensity 17.0; 34.7°, intensity 60.9; 38.4°, intensity 15.7; 39.5°, intensity 26.9; 43.8°, intensity 15.8; 52.2°, intensity 28.0; 53.2°, intensity 23.3

***

Record 2
The following is a theoretical PXRD pattern of Er2Pt. It was derived from a structure optimized by DFT (GGA-PBE), using Cu Kα.

Cell and atoms:
Cell lengths 7.094, 4.745, 8.718 Å; angles 90.00, 90.00, 90.00 degrees
Element x y z (fractional)
Er  0.010  0.250  0.168
Er  0.144  0.250  0.580
Er  0.356  0.750  0.080
Er  0.490  0.750  0.668
Er  0.510  0.250  0.332
Er  0.644  0.250  0.920
Er  0.856  0.750  0.420
Er  0.990  0.750  0.832
Pt  0.241  0.250  0.906
Pt  0.259  0.750  0.406
Pt  0.741  0.250  0.594
Pt  0.759  0.750  0.094

The 10 most intense peaks (2θ from 5° to 70°), by angle:
30.6°, intensity 82.2; 31.5°, intensity 33.5; 32.5°, intensity 23.0; 33.2°, intensity 100.0; 36.3°, intensity 69.8; 37.9°, intensity 66.6; 43.5°, intensity 22.5; 44.0°, intensity 26.0; 44.6°, intensity 30.8; 69.9°, intensity 22.7

***

Record 3
The following is a theoretical PXRD pattern of Ac3Tm. It was derived from a structure optimized by DFT (GGA-PBE), using Cu Kα.

Cell and atoms:
Cell lengths 6.679, 6.679, 6.679 Å; angles 131.49, 131.49, 71.03 degrees
Element x y z (fractional)
Ac  0.000  0.000  0.000
Ac  0.250  0.750  0.500
Ac  0.750  0.250  0.500
Tm  0.500  0.500  0.000

The 10 most intense peaks (2θ from 5° to 70°), by angle:
28.3°, intensity 100.0; 32.6°, intensity 34.6; 33.0°, intensity 16.9; 46.8°, intensity 12.9; 47.1°, intensity 25.5; 55.6°, intensity 31.4; 56.0°, intensity 15.4; 58.4°, intensity 13.6; 68.4°, intensity 4.3; 69.1°, intensity 2.1

***

Record 4
The following is a theoretical PXRD pattern of Ba7B4S13. It was derived from a structure optimized by DFT (GGA-PBE), using Cu Kα.

Cell and atoms:
Cell lengths 13.189, 13.189, 10.287 Å; angles 90.02, 90.02, 134.05 degrees
Element x y z (fractional)
Ba  0.002  0.998  0.750
Ba  0.046  0.395  0.356
Ba  0.169  0.831  0.250
Ba  0.222  0.566  0.970
Ba  0.395  0.046  0.856
Ba  0.434  0.778  0.530
Ba  0.492  0.508  0.250
Ba  0.508  0.492  0.750
Ba  0.566  0.222  0.470
Ba  0.605  0.954  0.144
Ba  0.778  0.434  0.030
Ba  0.831  0.169  0.750
Ba  0.954  0.605  0.644
Ba  0.998  0.002  0.250
B  0.018  0.784  0.932
B  0.208  0.432  0.650
B  0.216  0.982  0.568
B  0.432  0.208  0.150
B  0.568  0.792  0.850
B  0.784  0.018  0.432
B  0.792  0.568  0.350
B  0.982  0.216  0.068
S  0.040  0.875  0.502
S  0.095  0.708  0.939
S  0.124  0.501  0.652
S  0.125  0.960  0.998
S  0.151  0.313  0.147
S  0.181  0.335  0.793
S  0.292  0.905  0.561
S  0.296  0.704  0.250
S  0.313  0.151  0.647
S  0.324  0.476  0.516
S  0.335  0.181  0.293
S  0.476  0.324  0.016
S  0.499  0.876  0.848
S  0.501  0.124  0.152
S  0.524  0.676  0.984
S  0.665  0.819  0.707
S  0.676  0.524  0.484
S  0.687  0.849  0.353
S  0.704  0.296  0.750
S  0.708  0.095  0.439
S  0.819  0.665  0.207
S  0.849  0.687  0.853
S  0.875  0.040  0.002
S  0.876  0.499  0.348
S  0.905  0.292  0.061
S  0.960  0.125  0.498

The 10 most intense peaks (2θ from 5° to 70°), by angle:
18.7°, intensity 36.0; 22.0°, intensity 46.3; 22.2°, intensity 39.6; 22.7°, intensity 33.2; 24.3°, intensity 41.5; 27.7°, intensity 100.0; 33.1°, intensity 77.2; 37.9°, intensity 60.6; 39.1°, intensity 65.4; 45.3°, intensity 46.7

***

Record 5
The following is a theoretical PXRD pattern of Mn. It was derived from a structure optimized by DFT (GGA-PBE), using Cu Kα.

Cell and atoms:
Cell lengths 2.424, 2.424, 2.424 Å; angles 109.47, 109.47, 109.47 degrees
Element x y z (fractional)
Mn  0.000  0.000  0.000

The 2 most intense peaks (2θ from 5° to 70°), by angle:
45.8°, intensity 100.0; 66.8°, intensity 14.5

***

Record 6
The following is a theoretical PXRD pattern of Mg2Cu3Si. It was derived from a structure optimized by DFT (GGA-PBE), using Cu Kα.

Cell and atoms:
Cell lengths 5.022, 5.022, 7.873 Å; angles 90.00, 90.00, 120.00 degrees
Element x y z (fractional)
Mg  0.333  0.667  0.061
Mg  0.333  0.667  0.439
Mg  0.667  0.333  0.561
Mg  0.667  0.333  0.939
Cu  0.169  0.337  0.750
Cu  0.169  0.831  0.750
Cu  0.337  0.169  0.250
Cu  0.663  0.831  0.750
Cu  0.831  0.169  0.250
Cu  0.831  0.663  0.250
Si  0.000  0.000  0.000
Si  0.000  0.000  0.500

The 10 most intense peaks (2θ from 5° to 70°), by angle:
20.4°, intensity 12.0; 22.6°, intensity 47.9; 23.4°, intensity 27.1; 40.1°, intensity 33.6; 41.5°, intensity 14.9; 42.7°, intensity 48.4; 43.2°, intensity 100.0; 46.1°, intensity 20.0; 47.8°, intensity 24.4; 54.8°, intensity 23.5

***

Record 7
The following is a theoretical PXRD pattern of SrH6C2O6. It was derived from a structure optimized by DFT (GGA-PBE), using Cu Kα.

Cell and atoms:
Cell lengths 7.620, 8.049, 11.449 Å; angles 90.00, 90.00, 90.00 degrees
Element x y z (fractional)
Sr  0.127  0.235  0.454
Sr  0.373  0.765  0.954
Sr  0.627  0.265  0.546
Sr  0.873  0.735  0.046
H  0.042  0.671  0.452
H  0.054  0.813  0.793
H  0.094  0.118  0.840
H  0.147  0.824  0.771
H  0.185  0.363  0.842
H  0.191  0.161  0.068
H  0.309  0.839  0.568
H  0.315  0.637  0.342
H  0.353  0.176  0.271
H  0.406  0.882  0.340
H  0.446  0.187  0.293
H  0.458  0.329  0.952
H  0.542  0.829  0.548
H  0.554  0.687  0.207
H  0.594  0.382  0.160
H  0.647  0.676  0.229
H  0.685  0.137  0.158
H  0.691  0.339  0.932
H  0.809  0.661  0.432
H  0.815  0.863  0.658
H  0.853  0.324  0.729
H  0.906  0.618  0.660
H  0.946  0.313  0.707
H  0.958  0.171  0.048
C  0.081  0.118  0.012
C  0.178  0.470  0.241
C  0.322  0.530  0.741
C  0.419  0.882  0.512
C  0.581  0.382  0.988
C  0.678  0.030  0.759
C  0.822  0.970  0.259
C  0.919  0.618  0.488
O  0.077  0.952  0.994
O  0.101  0.334  0.239
O  0.107  0.206  0.898
O  0.159  0.571  0.148
O  0.223  0.488  0.831
O  0.242  0.273  0.656
O  0.258  0.727  0.156
O  0.277  0.512  0.331
O  0.341  0.429  0.648
O  0.393  0.794  0.398
O  0.399  0.666  0.739
O  0.423  0.048  0.494
O  0.577  0.548  0.006
O  0.601  0.166  0.761
O  0.607  0.294  0.102
O  0.659  0.929  0.852
O  0.723  0.012  0.169
O  0.742  0.227  0.344
O  0.758  0.773  0.844
O  0.777  0.988  0.669
O  0.841  0.071  0.352
O  0.893  0.706  0.602
O  0.899  0.834  0.261
O  0.923  0.452  0.506

The 10 most intense peaks (2θ from 5° to 70°), by angle:
13.4°, intensity 100.0; 15.5°, intensity 19.3; 22.3°, intensity 48.7; 25.9°, intensity 59.8; 27.1°, intensity 22.6; 30.3°, intensity 23.1; 33.3°, intensity 44.1; 40.4°, intensity 21.2; 41.2°, intensity 21.2; 42.7°, intensity 20.3

***

Record 8
The following is a theoretical PXRD pattern of Ba2Tl2Zn3Cu4O12. It was derived from a structure optimized by DFT (GGA-PBE), using Cu Kα.

Cell and atoms:
Cell lengths 20.946, 20.946, 20.946 Å; angles 169.52, 169.52, 14.83 degrees
Element x y z (fractional)
Ba  0.154  0.154  0.000
Ba  0.846  0.846  0.000
Tl  0.277  0.277  0.000
Tl  0.723  0.723  0.000
Zn  0.000  0.000  0.000
Zn  0.073  0.073  0.000
Zn  0.927  0.927  0.000
Cu  0.396  0.396  0.000
Cu  0.464  0.464  0.000
Cu  0.536  0.536  0.000
Cu  0.604  0.604  0.000
O  0.035  0.535  0.500
O  0.104  0.604  0.500
O  0.226  0.226  0.000
O  0.327  0.327  0.000
O  0.396  0.896  0.500
O  0.465  0.965  0.500
O  0.535  0.035  0.500
O  0.604  0.104  0.500
O  0.673  0.673  0.000
O  0.774  0.774  0.000
O  0.896  0.396  0.500
O  0.965  0.465  0.500

The 10 most intense peaks (2θ from 5° to 70°), by angle:
27.8°, intensity 71.7; 30.4°, intensity 76.0; 33.1°, intensity 100.0; 33.4°, intensity 34.9; 34.5°, intensity 24.0; 36.6°, intensity 21.4; 40.2°, intensity 32.4; 47.6°, intensity 54.1; 48.6°, intensity 21.6; 57.5°, intensity 26.4